# 1
Sr3Ti: theoretical PXRD pattern (λ = 1.5418 Å (Cu Kα)), based on a cell relaxed with GGA-PBE.
Kinematic intensities with the Lorentz-polarization factor, no thermal factor.

Structural model:
```
Sr3Ti
1.0
5.5071 0.0000 0.0000
0.0000 5.5071 0.0000
0.0000 0.0000 11.0454
Sr Ti
6 2
Direct
0.0000 0.0000 0.0000 Sr
0.0000 0.5000 0.2500 Sr
0.0000 0.5000 0.7500 Sr
0.5000 0.0000 0.2500 Sr
0.5000 0.0000 0.7500 Sr
0.5000 0.5000 0.5000 Sr
0.0000 0.0000 0.5000 Ti
0.5000 0.5000 0.0000 Ti
```

Top 10 peaks for 15 to 90 degrees two-theta, most intense first:
two_theta	I/Imax
28.0	100
32.5	51
46.6	36
55.3	29
55.2	14
58.0	12
75.1	11
77.5	11
86.5	8
75.2	6



# 2
BaS4O: theoretical PXRD pattern (λ = 1.5418 Å (Cu Kα)), based on a cell relaxed with GGA-PBE.
Kinematic intensities with the Lorentz-polarization factor, no thermal factor.

Structural model:
```
BaS4O
1.0
8.7426 0.0000 0.0000
0.0000 10.5346 0.0000
0.0000 0.0000 7.2243
Ba S O
4 16 4
Direct
0.2490 0.1232 0.2455 Ba
0.2510 0.6232 0.7545 Ba
0.7490 0.3768 0.7545 Ba
0.7510 0.8768 0.2455 Ba
0.0190 0.0994 0.6490 S
0.1066 0.8430 0.4280 S
0.1141 0.4669 0.1642 S
0.1149 0.3479 0.9431 S
0.3851 0.8479 0.0569 S
0.3859 0.9669 0.8358 S
0.3934 0.3430 0.5720 S
0.4810 0.5994 0.3510 S
0.5190 0.4006 0.3510 S
0.6066 0.6570 0.5720 S
0.6141 0.0331 0.8358 S
0.6149 0.1521 0.0569 S
0.8851 0.6521 0.9431 S
0.8859 0.5331 0.1642 S
0.8934 0.1570 0.4280 S
0.9810 0.9006 0.6490 S
0.0000 0.0000 0.1901 O
0.0000 0.5000 0.7067 O
0.5000 0.0000 0.2933 O
0.5000 0.5000 0.8099 O
```

Top 10 peaks for 15 to 90 degrees two-theta, most intense first:
two_theta	I/Imax
18.0	100
31.7	74
25.3	62
30.1	42
35.2	35
19.7	30
34.3	28
39.8	25
28.3	24
35.1	24